# 1
Computed powder diffraction line list
Compound: Sr3AgBi
Radiation: Cu Kα X-rays
Structure: a DFT-relaxed cell (PBE, Alexandria)
Lines closer than 0.1° are merged.

Most intense lines, 15° ≤ 2θ ≤ 90°, by angle:
two_theta	d/Å	Rel. int.
20.0	4.450	72
26.5	3.368	100
31.8	2.811	42
33.7	2.657	46
34.8	2.576	32
37.7	2.385	34
37.8	2.377	30
43.1	2.097	20
49.7	1.834	25
54.5	1.684	23

Structure:
Lattice parameters (Å, degrees): 9.623 9.623 4.755 90.00 90.00 112.35
Fractional coordinates of all 10 atoms:
Sr 0.148 0.852 0.000
Sr 0.194 0.433 0.499
Sr 0.433 0.194 0.501
Sr 0.567 0.806 0.501
Sr 0.806 0.567 0.499
Sr 0.852 0.148 0.000
Ag 0.000 0.500 0.999
Ag 0.500 0.000 0.001
Bi 0.000 0.000 0.500
Bi 0.500 0.500 0.000

***

# 2
Computed powder diffraction line list
Compound: Tb5AgBi2
Radiation: Cu Kα X-rays
Structure: a DFT-relaxed cell (PBE, Alexandria)
Lines closer than 0.1° are merged.

Most intense lines, 15° ≤ 2θ ≤ 90°, by angle:
two_theta	d/Å	Rel. int.
23.8	3.737	19
30.3	2.950	38
30.4	2.940	19
31.0	2.889	55
33.1	2.710	100
37.7	2.386	14
40.7	2.219	12
43.9	2.061	14
49.5	1.840	13
56.4	1.631	22

Structure:
Lattice parameters (Å, degrees): 6.666 6.666 14.317 90.00 90.00 128.63
Fractional coordinates of all 16 atoms:
Tb 0.068 0.932 0.602
Tb 0.068 0.932 0.898
Tb 0.381 0.619 0.556
Tb 0.381 0.619 0.944
Tb 0.399 0.601 0.250
Tb 0.601 0.399 0.750
Tb 0.619 0.381 0.056
Tb 0.619 0.381 0.444
Tb 0.932 0.068 0.102
Tb 0.932 0.068 0.398
Ag 0.260 0.740 0.750
Ag 0.740 0.260 0.250
Bi 0.201 0.799 0.111
Bi 0.201 0.799 0.389
Bi 0.799 0.201 0.611
Bi 0.799 0.201 0.889

***

# 3
Computed powder diffraction line list
Compound: Ag2BiTe3
Radiation: Cu Kα X-rays
Structure: a DFT-relaxed cell (PBE, Alexandria)
Lines closer than 0.1° are merged.

Most intense lines, 15° ≤ 2θ ≤ 90°, by angle:
two_theta	d/Å	Rel. int.
23.3	3.826	100
23.4	3.798	33
38.3	2.348	36
38.5	2.338	50
38.8	2.322	17
45.2	2.006	17
45.4	1.996	15
45.6	1.990	21
45.8	1.982	10
55.8	1.648	10

Structure:
Lattice parameters (Å, degrees): 8.101 8.101 8.143 99.94 99.94 120.05
Fractional coordinates of all 12 atoms:
Ag 0.080 0.920 0.500
Ag 0.278 0.784 0.006
Ag 0.784 0.278 0.506
Ag 0.920 0.080 0.000
Bi 0.437 0.605 0.516
Bi 0.605 0.437 0.016
Te 0.000 0.829 0.138
Te 0.137 0.655 0.643
Te 0.269 0.474 0.122
Te 0.474 0.269 0.622
Te 0.655 0.137 0.143
Te 0.829 0.000 0.638

***

# 4
Computed powder diffraction line list
Compound: Ag2BiTe3
Radiation: Cu Kα X-rays
Structure: a DFT-relaxed cell (PBE, Alexandria)
Lines closer than 0.1° are merged.

Most intense lines, 15° ≤ 2θ ≤ 90°, by angle:
two_theta	d/Å	Rel. int.
24.2	3.673	74
24.4	3.654	56
28.8	3.095	60
31.1	2.880	83
31.7	2.824	57
32.4	2.763	61
33.9	2.642	75
34.8	2.577	100
40.5	2.226	90
42.6	2.122	46

Structure:
Lattice parameters (Å, degrees): 7.941 4.452 10.587 90.00 92.86 90.00
Fractional coordinates of all 12 atoms:
Ag 0.056 0.250 0.411
Ag 0.430 0.750 0.908
Ag 0.570 0.250 0.092
Ag 0.944 0.750 0.589
Bi 0.251 0.250 0.702
Bi 0.749 0.750 0.298
Te 0.067 0.750 0.850
Te 0.277 0.750 0.471
Te 0.388 0.750 0.176
Te 0.612 0.250 0.824
Te 0.723 0.250 0.529
Te 0.933 0.250 0.150

***

# 5
Computed powder diffraction line list
Compound: Ag5BiTe4
Radiation: Cu Kα X-rays
Structure: a DFT-relaxed cell (PBE, Alexandria)
Lines closer than 0.1° are merged.

Most intense lines, 15° ≤ 2θ ≤ 90°, by angle:
two_theta	d/Å	Rel. int.
24.8	3.596	99
27.4	3.250	31
32.6	2.747	65
34.0	2.639	36
34.6	2.593	78
36.0	2.492	40
37.0	2.427	100
37.8	2.379	32
41.8	2.162	73
42.0	2.151	46

Structure:
Lattice parameters (Å, degrees): 9.515 10.373 5.493 90.00 90.00 90.00
Fractional coordinates of all 20 atoms:
Ag 0.060 0.001 0.245
Ag 0.060 0.499 0.245
Ag 0.250 0.250 0.222
Ag 0.440 0.001 0.245
Ag 0.440 0.499 0.245
Ag 0.560 0.501 0.755
Ag 0.560 0.999 0.755
Ag 0.750 0.750 0.778
Ag 0.940 0.501 0.755
Ag 0.940 0.999 0.755
Bi 0.250 0.750 0.616
Bi 0.750 0.250 0.384
Te 0.030 0.750 0.004
Te 0.250 0.054 0.621
Te 0.250 0.446 0.621
Te 0.470 0.750 0.004
Te 0.530 0.250 0.996
Te 0.750 0.554 0.379
Te 0.750 0.946 0.379
Te 0.970 0.250 0.996

***

# 6
Computed powder diffraction line list
Compound: Ti2AgBi
Radiation: Cu Kα X-rays
Structure: a DFT-relaxed cell (PBE, Alexandria)
Lines closer than 0.1° are merged.

Most intense lines, 15° ≤ 2θ ≤ 90°, by angle:
two_theta	d/Å	Rel. int.
21.0	4.236	29
29.7	3.008	34
36.6	2.454	100
42.5	2.128	33
42.7	2.118	16
47.8	1.902	17
52.9	1.732	11
61.8	1.501	21
73.9	1.283	25
74.2	1.278	12

Structure:
Lattice parameters (Å, degrees): 4.257 4.257 4.236 90.00 90.00 90.00
Fractional coordinates of all 4 atoms:
Ti 0.000 0.500 0.000
Ti 0.500 0.000 0.000
Ag 0.000 0.000 0.500
Bi 0.500 0.500 0.500

***

# 7
Computed powder diffraction line list
Compound: U2AgBi4
Radiation: Cu Kα X-rays
Structure: a DFT-relaxed cell (PBE, Alexandria)
Lines closer than 0.1° are merged.

Most intense lines, 15° ≤ 2θ ≤ 90°, by angle:
two_theta	d/Å	Rel. int.
26.7	3.342	11
27.1	3.296	16
29.3	3.050	23
33.3	2.690	100
39.7	2.268	40
48.7	1.868	14
50.3	1.813	11
55.0	1.671	13
57.5	1.603	14
68.1	1.377	27

Structure:
Lattice parameters (Å, degrees): 4.535 4.535 9.887 90.00 90.00 90.00
Fractional coordinates of all 7 atoms:
U 0.000 0.500 0.243
U 0.500 0.000 0.757
Ag 0.500 0.500 0.000
Bi 0.000 0.000 0.500
Bi 0.000 0.500 0.821
Bi 0.500 0.000 0.179
Bi 0.500 0.500 0.500

***

# 8
Computed powder diffraction line list
Compound: Y3Ag3Bi4
Radiation: Cu Kα X-rays
Structure: a DFT-relaxed cell (PBE, Alexandria)
Lines closer than 0.1° are merged.

Most intense lines, 15° ≤ 2θ ≤ 90°, by angle:
two_theta	d/Å	Rel. int.
21.3	4.166	24
27.6	3.227	20
32.8	2.727	100
39.5	2.282	16
43.4	2.083	21
45.3	2.001	23
57.1	1.614	10
61.6	1.505	11
64.6	1.443	12
79.7	1.203	9

Structure:
Lattice parameters (Å, degrees): 8.838 8.838 8.838 109.47 109.47 109.47
Fractional coordinates of all 20 atoms:
Y 0.125 0.875 0.250
Y 0.250 0.125 0.875
Y 0.375 0.625 0.750
Y 0.625 0.750 0.375
Y 0.750 0.375 0.625
Y 0.875 0.250 0.125
Ag 0.125 0.750 0.875
Ag 0.250 0.625 0.375
Ag 0.375 0.250 0.625
Ag 0.625 0.375 0.250
Ag 0.750 0.875 0.125
Ag 0.875 0.125 0.750
Bi 0.000 0.179 0.500
Bi 0.000 0.679 0.500
Bi 0.179 0.500 0.000
Bi 0.321 0.321 0.321
Bi 0.500 0.000 0.179
Bi 0.500 0.000 0.679
Bi 0.679 0.500 0.000
Bi 0.821 0.821 0.821